Diffraction record for Ac4HoCd. The XRD peak list is theoretical, not measured: it uses the GGA-PBE geometry in Alexandria and Cu Kα (weighted mean of Kα1 and Kα2).

Largest 6 diffraction maxima, in order of rising 2θ, 15° ≤ 2θ ≤ 90°:
2θ/deg, d/Å, I/Imax
28.9, 3.094, 100
32.0, 2.801, 41
45.8, 1.981, 15
49.1, 1.856, 20
55.1, 1.668, 34
59.8, 1.547, 12

```
data_Ac4HoCd
_chemical_formula_sum 'Ac4 Ho1 Cd1'
_space_group_name_H-M_alt 'P 4/m m m'
_space_group_IT_number 123
_space_group_name_Hall '-P 4 2'
_cell_length_a 3.9612
_cell_length_b 3.9612
_cell_length_c 14.8640
_cell_angle_alpha 90.00
_cell_angle_beta 90.00
_cell_angle_gamma 90.00
loop_
_atom_site_label
_atom_site_type_symbol
_atom_site_fract_x
_atom_site_fract_y
_atom_site_fract_z
Ac1 Ac 0.0000 0.0000 0.1441
Ac2 Ac 0.5000 0.5000 0.3332
Ho1 Ho 0.0000 0.0000 0.5000
Cd1 Cd 0.5000 0.5000 0.0000
```